# Th7Co2Sb2
Computed PXRD pattern, a wavelength of 1.5418 Å. Input: a cell relaxed with GGA-PBE.

Cell: 6.937 6.937 6.859 Å, 90.00 90.00 104.27°
Element x y z (fractional)
Th (0.000, 0.000, 0.000)
Th (0.000, 0.500, 0.253)
Th (0.000, 0.500, 0.747)
Th (0.500, 0.000, 0.253)
Th (0.500, 0.000, 0.747)
Th (0.500, 0.500, 0.236)
Th (0.500, 0.500, 0.764)
Co (0.257, 0.743, 0.000)
Co (0.743, 0.257, 0.000)
Sb (0.181, 0.181, 0.500)
Sb (0.819, 0.819, 0.500)

Principal peaks in the range 15 to 90 degrees two-theta, by angle:
2θ/deg  I (rel.)
24.6  18
26.5  79
29.2  43
30.8  21
32.7  53
37.5  100
42.5  24
53.4  17
54.6  20
61.4  17
61.5  18
80.0  20